Computed X-ray diffraction stick pattern of LiY2Zn6 for copper Kα, from a PBE-relaxed structure.
Peak positions follow from Bragg's law for the DFT cell and can differ from measured ones.

Top 10 peaks for 15 to 90 degrees two-theta, by angle:
| 2θ (°) | Rel. int. | index |
| --- | --- | --- |
| 27.0 | 13 | 0 0 1 |
| 30.1 | 10 | 1 0 1 |
| 35.6 | 100 | 1 1 1 |
| 40.1 | 83 | 3 0 0 |
| 49.0 | 14 | 3 0 1 |
| 54.7 | 28 | 2 2 1 |
| 55.6 | 10 | 0 0 2 |
| 70.0 | 25 | 4 1 1 |
| 70.8 | 29 | 3 0 2 |
| 72.9 | 13 | 3 3 0 |

```
LiY2Zn6
1.0
7.782 0.000 0.000
-3.891 6.739 0.000
0.000 0.000 3.306
Li Y Zn
1 2 6
Direct
0.000 0.000 0.000
0.333 0.667 0.000
0.667 0.333 0.000
0.000 0.325 0.500
0.000 0.675 0.500
0.325 0.000 0.500
0.325 0.325 0.500
0.675 0.000 0.500
0.675 0.675 0.500
```